1.
This entry pairs a crystal structure of Li2CrFe3O8 with its simulated X-ray powder pattern. Radiation: a wavelength of 1.5418 Å. Structure: a cell relaxed with PBE+U.
No peak broadening, texture or thermal motion is included.

The 10 most intense peaks (5° ≤ 2θ ≤ 70°), sorted by position:
2θ/deg	I (rel.)
18.49	100
19.64	98
19.74	51
25.45	49
33.02	48
35.77	52
36.29	57
39.89	42
45.35	66
60.23	45

Structural model:
```
Li2CrFe3O8
1.0
2.965 -5.090 0.000
2.965 5.090 0.000
0.000 0.000 9.600
Li Cr Fe O
4 2 6 16
Cartesian
2.965 5.087 0.000
2.965 -5.087 4.800
2.965 1.710 5.789
2.965 -1.710 0.989
2.965 1.670 0.122
2.965 -1.670 4.922
1.503 0.862 2.731
2.965 3.372 2.729
1.503 -0.862 7.531
4.427 0.862 2.731
2.965 -3.372 7.529
4.427 -0.862 7.531
2.965 -5.085 1.797
2.965 5.085 6.597
1.658 2.415 1.495
2.965 3.400 8.625
1.463 0.816 8.606
1.463 -0.816 3.806
2.965 1.696 3.791
2.965 0.191 1.502
4.272 2.415 1.495
1.658 -2.415 6.294
2.965 -0.191 6.302
2.965 -1.696 8.591
4.467 0.816 8.606
4.467 -0.816 3.806
2.965 -3.400 3.825
4.272 -2.415 6.294
```

***

2.
This entry pairs a crystal structure of Li9Co7O16 with its simulated X-ray powder pattern. Radiation: a wavelength of 1.5418 Å. Structure: a cell relaxed with PBE+U.
No peak broadening, texture or thermal motion is included.

The 10 most intense peaks (5° ≤ 2θ ≤ 70°), sorted by position:
2θ/deg	I (rel.)
18.35	100
34.63	19
36.25	13
36.94	11
41.46	33
44.11	26
45.01	24
47.26	11
62.07	8
64.36	9

Structural model:
```
Li9Co7O16
1.0
2.996 0.000 0.000
-1.238 4.941 0.000
-1.013 -0.850 19.469
Li Co O
9 7 16
Cartesian
0.000 0.000 0.000
-1.001 0.845 15.843
-1.052 4.258 8.489
0.173 2.769 1.217
0.374 0.344 13.373
0.371 3.746 6.096
0.572 1.322 18.253
1.797 -0.168 10.981
1.746 3.245 3.626
-1.018 2.550 12.199
0.188 1.023 4.849
-0.851 3.587 17.132
0.372 2.045 9.735
1.596 0.504 2.337
0.557 3.068 14.620
1.763 1.541 7.271
-0.958 -0.125 17.595
-0.969 1.802 13.948
-1.017 3.300 10.413
0.046 0.254 6.636
0.268 1.779 3.086
-0.854 2.765 18.669
0.350 -0.629 15.317
0.272 1.293 11.561
0.473 2.798 7.908
0.395 4.720 4.152
1.599 1.326 0.801
0.477 2.312 16.383
0.699 3.837 12.834
1.762 0.791 9.056
1.714 2.289 5.522
1.703 4.215 1.875
```

***

3.
This entry pairs a crystal structure of BaLaEuWO6 with its simulated X-ray powder pattern. Radiation: a wavelength of 1.5418 Å. Structure: a cell relaxed with PBE+U.
No peak broadening, texture or thermal motion is included.

The 10 most intense peaks (5° ≤ 2θ ≤ 70°), sorted by position:
2θ/deg	I (rel.)
17.68	2
20.45	2
29.07	100
34.24	1
41.58	28
46.77	1
51.54	41
54.92	1
60.27	18
68.29	19

Structural model:
```
BaLaEuWO6
1.0
0.000 4.343 4.343
4.343 0.000 4.343
4.343 4.343 0.000
Ba La Eu W O
1 1 1 1 6
Cartesian
0.000 0.000 0.000
2.172 2.172 2.172
4.343 4.343 4.343
6.515 6.515 6.515
6.515 6.515 4.522
6.515 4.522 6.515
8.508 6.515 6.515
4.522 6.515 6.515
6.515 8.508 6.515
6.515 6.515 8.508
```